The following is a theoretical powder diffraction line list of ZnAg15. It was derived from a cell relaxed with PBE, using Cu Kα, 1.54184 Å.

Largest 12 diffraction maxima, sorted by position, 10° ≤ 2θ ≤ 90°:
| two_theta | d_spacing | intensity |
| --- | --- | --- |
| 36.16 | 2.484 | 64.4 |
| 37.67 | 2.388 | 100.0 |
| 37.75 | 2.383 | 45.2 |
| 38.18 | 2.357 | 79.0 |
| 42.43 | 2.131 | 44.3 |
| 43.81 | 2.067 | 32.6 |
| 44.21 | 2.049 | 51.3 |
| 62.62 | 1.483 | 24.0 |
| 63.99 | 1.455 | 32.1 |
| 75.07 | 1.265 | 20.4 |
| 76.43 | 1.246 | 16.7 |
| 76.66 | 1.243 | 19.5 |

Atomic structure:
Cell lengths 8.266, 2.926, 37.301 Å; angles 90.00, 90.02, 90.00 degrees
Fractional coordinates of all 32 atoms:
Zn  0.125  0.250  0.211
Zn  0.875  0.750  0.789
Ag  0.121  0.250  0.760
Ag  0.125  0.250  0.284
Ag  0.125  0.250  0.362
Ag  0.125  0.250  0.441
Ag  0.125  0.250  0.520
Ag  0.125  0.250  0.600
Ag  0.127  0.250  0.679
Ag  0.371  0.750  0.240
Ag  0.375  0.750  0.401
Ag  0.375  0.750  0.480
Ag  0.375  0.750  0.560
Ag  0.375  0.750  0.639
Ag  0.375  0.750  0.719
Ag  0.375  0.750  0.795
Ag  0.377  0.750  0.321
Ag  0.623  0.250  0.679
Ag  0.625  0.250  0.205
Ag  0.625  0.250  0.281
Ag  0.625  0.250  0.361
Ag  0.625  0.250  0.440
Ag  0.625  0.250  0.520
Ag  0.625  0.250  0.599
Ag  0.629  0.250  0.760
Ag  0.873  0.750  0.321
Ag  0.875  0.750  0.400
Ag  0.875  0.750  0.480
Ag  0.875  0.750  0.559
Ag  0.875  0.750  0.638
Ag  0.875  0.750  0.716
Ag  0.879  0.750  0.240

The following is a theoretical powder diffraction line list of Ho3Er5Te. It was derived from a cell relaxed with PBE, using Cu Kα, 1.54184 Å.

Largest 12 diffraction maxima, sorted by position, 10° ≤ 2θ ≤ 90°:
| two_theta | d_spacing | intensity |
| --- | --- | --- |
| 29.86 | 2.992 | 38.9 |
| 30.86 | 2.897 | 100.0 |
| 32.92 | 2.721 | 55.1 |
| 33.98 | 2.639 | 78.1 |
| 38.51 | 2.338 | 27.4 |
| 46.55 | 1.951 | 13.5 |
| 48.61 | 1.873 | 15.8 |
| 56.30 | 1.634 | 36.6 |
| 58.10 | 1.588 | 12.0 |
| 58.87 | 1.569 | 10.5 |
| 60.63 | 1.527 | 29.6 |
| 63.83 | 1.458 | 13.2 |

Atomic structure:
Cell lengths 9.141, 9.141, 3.746 Å; angles 90.00, 90.00, 120.00 degrees
Fractional coordinates of all 9 atoms:
Ho  0.000  0.275  0.000
Ho  0.275  0.000  0.000
Ho  0.725  0.725  0.000
Er  0.000  0.616  0.500
Er  0.333  0.667  0.000
Er  0.384  0.384  0.500
Er  0.616  0.000  0.500
Er  0.667  0.333  0.000
Te  0.000  0.000  0.500

The following is a theoretical powder diffraction line list of Ba2TmP2. It was derived from a cell relaxed with PBE, using Cu Kα, 1.54184 Å.

Largest 12 diffraction maxima, sorted by position, 10° ≤ 2θ ≤ 90°:
| two_theta | d_spacing | intensity |
| --- | --- | --- |
| 14.77 | 5.999 | 19.6 |
| 22.80 | 3.901 | 42.9 |
| 23.34 | 3.811 | 28.3 |
| 23.55 | 3.777 | 37.6 |
| 27.21 | 3.278 | 100.0 |
| 29.36 | 3.043 | 36.3 |
| 32.75 | 2.735 | 28.6 |
| 32.96 | 2.718 | 24.3 |
| 33.61 | 2.667 | 39.4 |
| 34.48 | 2.601 | 24.4 |
| 39.57 | 2.278 | 28.1 |
| 52.86 | 1.732 | 21.4 |

Atomic structure:
Cell lengths 8.847, 8.847, 8.420 Å; angles 90.00, 90.00, 150.16 degrees
Fractional coordinates of all 10 atoms:
Ba  0.058  0.942  0.500
Ba  0.206  0.794  0.174
Ba  0.794  0.206  0.674
Ba  0.942  0.058  0.000
Tm  0.412  0.588  0.369
Tm  0.588  0.412  0.869
P  0.167  0.833  0.807
P  0.451  0.549  0.689
P  0.549  0.451  0.189
P  0.833  0.167  0.307